No. 1
The following is a calculated powder diffractogram of Sr2MgMo2O6. It was derived from a GGA+U-relaxed structure, using Cu Kα (weighted mean of Kα1 and Kα2).
No peak broadening, texture or thermal motion is included.

Main lines, sorted by position (5° ≤ 2θ ≤ 70°):
2θ/deg	Rel. int.
27.97	62
29.92	54
31.57	100
34.23	16
36.90	15
44.04	53
44.53	27
51.80	22
54.17	15
58.33	16

Atomic structure:
```
Sr2MgMo2O6
1.0
4.8734 -2.9865 0.0000
4.8734 2.9865 0.0000
-2.5371 0.0000 5.1578
Sr Mg Mo O
2 1 2 6
direct
0.1927 0.1927 0.1627
0.8073 0.8073 0.8373
0.5000 0.5000 0.5000
0.0000 0.0000 0.5000
0.5000 0.5000 0.0000
0.1983 0.6687 0.2159
0.2726 0.2726 0.6390
0.3313 0.8017 0.7841
0.6687 0.1983 0.2159
0.7274 0.7274 0.3610
0.8017 0.3313 0.7841
```



No. 2
The following is a calculated powder diffractogram of Li3Co2O5. It was derived from a GGA+U-relaxed structure, using Cu Kα (weighted mean of Kα1 and Kα2).
No peak broadening, texture or thermal motion is included.

Main lines, sorted by position (5° ≤ 2θ ≤ 70°):
2θ/deg	Rel. int.
9.21	19
18.37	100
36.07	28
36.64	11
43.43	60
44.61	26
57.18	11
63.72	23
64.34	14
66.99	9

Atomic structure:
```
Li3Co2O5
1.0
6.2911 -1.4599 0.0000
6.2911 1.4599 0.0000
-1.7267 0.0000 9.6037
Li Co O
6 4 10
direct
0.0000 0.0000 0.0000
0.0963 0.0963 0.2999
0.3017 0.3017 0.9037
0.5000 0.5000 0.5000
0.6983 0.6983 0.0963
0.9037 0.9037 0.7001
0.1988 0.1988 0.6001
0.4060 0.4060 0.1926
0.5940 0.5940 0.8074
0.8012 0.8012 0.3999
0.0571 0.0571 0.6606
0.1462 0.1462 0.9365
0.2627 0.2627 0.2539
0.3443 0.3443 0.5426
0.4633 0.4633 0.8438
0.5367 0.5367 0.1562
0.6557 0.6557 0.4574
0.7373 0.7373 0.7461
0.8538 0.8538 0.0635
0.9429 0.9429 0.3394
```



No. 3
The following is a calculated powder diffractogram of MgMn6O7F5. It was derived from a GGA+U-relaxed structure, using Cu Kα (weighted mean of Kα1 and Kα2).
No peak broadening, texture or thermal motion is included.

Main lines, sorted by position (5° ≤ 2θ ≤ 70°):
2θ/deg	Rel. int.
21.95	100
27.54	55
33.32	20
33.79	21
34.54	17
35.59	17
44.77	18
45.37	15
48.40	16
52.15	16

Atomic structure:
```
MgMn6O7F5
1.0
5.2058 0.0000 0.0000
0.9663 5.8464 0.0000
1.5009 1.1910 7.9580
Mg Mn O F
1 6 7 5
direct
0.0000 0.0000 0.0000
0.0022 0.1877 0.3518
0.0118 0.4930 0.0000
0.4692 0.3211 0.6622
0.4881 0.0228 0.0072
0.5193 0.6790 0.3282
0.9748 0.7980 0.6266
0.1767 0.1868 0.1201
0.1829 0.5423 0.7510
0.2090 0.8881 0.4236
0.3196 0.0788 0.8158
0.6821 0.9260 0.1850
0.7815 0.1135 0.5656
0.8011 0.4604 0.2404
0.2517 0.7233 0.0708
0.3149 0.4132 0.4303
0.6813 0.5970 0.5674
0.7491 0.2713 0.9142
0.8068 0.8180 0.8803
```



No. 4
The following is a calculated powder diffractogram of NiAu2F8. It was derived from a GGA+U-relaxed structure, using Cu Kα (weighted mean of Kα1 and Kα2).
No peak broadening, texture or thermal motion is included.

Main lines, sorted by position (5° ≤ 2θ ≤ 70°):
2θ/deg	Rel. int.
16.89	37
22.51	24
23.04	71
23.24	99
25.17	100
27.99	63
31.40	33
32.65	39
33.12	29
35.86	35

Atomic structure:
```
NiAu2F8
1.0
5.5709 0.0000 0.0000
0.0000 5.6984 0.0000
-3.6717 0.0000 10.3353
Ni Au F
2 4 16
direct
0.0000 0.0000 0.0000
0.0000 0.5000 0.5000
0.3696 0.2161 0.3316
0.3696 0.2839 0.8316
0.6304 0.7161 0.1684
0.6304 0.7839 0.6684
0.0679 0.1157 0.1855
0.0679 0.3843 0.6855
0.1623 0.2168 0.4494
0.1623 0.2832 0.9494
0.3254 0.6883 0.5228
0.3254 0.8117 0.0228
0.4273 0.7075 0.2814
0.4273 0.7925 0.7814
0.5727 0.2075 0.2186
0.5727 0.2925 0.7186
0.6746 0.1883 0.9772
0.6746 0.3117 0.4772
0.8377 0.7168 0.0506
0.8377 0.7832 0.5506
0.9321 0.6157 0.3145
0.9321 0.8843 0.8145
```



No. 5
The following is a calculated powder diffractogram of FeBi2Se2Cl3O7. It was derived from a GGA+U-relaxed structure, using Cu Kα (weighted mean of Kα1 and Kα2).
No peak broadening, texture or thermal motion is included.

Main lines, sorted by position (5° ≤ 2θ ≤ 70°):
2θ/deg	Rel. int.
16.20	88
21.18	67
21.28	36
24.59	66
25.42	35
29.17	35
32.44	34
32.70	100
34.38	37
35.66	33

Atomic structure:
```
FeBi2Se2Cl3O7
1.0
8.7150 0.0000 0.0000
0.0000 7.2422 0.0000
-2.5122 0.0000 8.3893
Fe Bi Se Cl O
2 4 4 6 14
direct
0.0000 0.0000 0.0000
0.0000 0.5000 0.0000
0.2231 0.2500 0.7685
0.2981 0.2500 0.2554
0.7019 0.7500 0.7446
0.7769 0.7500 0.2315
0.1070 0.7500 0.7139
0.2355 0.7500 0.3220
0.7645 0.2500 0.6780
0.8930 0.2500 0.2861
0.3819 0.0154 0.6199
0.3819 0.4846 0.6199
0.4721 0.2500 0.0237
0.5279 0.7500 0.9763
0.6181 0.5154 0.3801
0.6181 0.9846 0.3801
0.0635 0.7500 0.3738
0.0966 0.2500 0.3751
0.1040 0.2500 0.0208
0.1296 0.5606 0.8448
0.1296 0.9394 0.8448
0.2030 0.5616 0.1848
0.2030 0.9384 0.1848
0.7970 0.0616 0.8152
0.7970 0.4384 0.8152
0.8704 0.0606 0.1552
0.8704 0.4394 0.1552
0.8960 0.7500 0.9792
0.9034 0.7500 0.6249
0.9365 0.2500 0.6262
```



No. 6
The following is a calculated powder diffractogram of MgNiP2O7. It was derived from a GGA+U-relaxed structure, using Cu Kα (weighted mean of Kα1 and Kα2).
No peak broadening, texture or thermal motion is included.

Main lines, sorted by position (5° ≤ 2θ ≤ 70°):
2θ/deg	Rel. int.
14.95	16
17.27	19
29.46	100
29.71	59
35.02	11
35.17	13
41.46	10
42.68	19
55.96	12
58.10	15

Atomic structure:
```
MgNiP2O7
1.0
7.0104 0.0000 0.0000
0.0000 8.3800 0.0000
-3.6247 0.0000 8.3776
Mg Ni P O
4 4 8 28
direct
0.1945 0.0592 0.3194
0.1945 0.4408 0.8194
0.8055 0.5592 0.1806
0.8055 0.9408 0.6806
0.2701 0.0747 0.8899
0.2701 0.4253 0.3899
0.7299 0.5747 0.6101
0.7299 0.9253 0.1101
0.0306 0.7275 0.9679
0.0306 0.7725 0.4679
0.4402 0.7329 0.2595
0.4402 0.7671 0.7595
0.5598 0.2329 0.2405
0.5598 0.2671 0.7405
0.9694 0.2275 0.5321
0.9694 0.2725 0.0321
0.0160 0.0914 0.6540
0.0160 0.4086 0.1540
0.0507 0.6098 0.3970
0.0507 0.8902 0.8970
0.1251 0.2350 0.4510
0.1251 0.2650 0.9510
0.2486 0.6739 0.1009
0.2486 0.8261 0.6009
0.3794 0.2399 0.2968
0.3794 0.2601 0.7968
0.3876 0.6101 0.8146
0.3876 0.8899 0.3146
0.4752 0.5952 0.3799
0.4752 0.9048 0.8799
0.5248 0.0952 0.1201
0.5248 0.4048 0.6201
0.6124 0.1101 0.6854
0.6124 0.3899 0.1854
0.6206 0.7399 0.2032
0.6206 0.7601 0.7032
0.7514 0.1739 0.3991
0.7514 0.3261 0.8991
0.8749 0.7350 0.0490
0.8749 0.7650 0.5490
0.9493 0.1098 0.1030
0.9493 0.3902 0.6030
0.9840 0.5914 0.8460
0.9840 0.9086 0.3460
```